No. 1
Calculated powder diffraction line list
Compound: Sm2Dy2Er3
Radiation: Cu Kα
Structure: a structure optimized by DFT (PBE)
Peak positions follow from Bragg's law for the DFT cell and can differ from measured ones.

```
data_Sm2Dy2Er3
_symmetry_space_group_name_H-M 'P 1'
_symmetry_Int_Tables_number 1
_symmetry_space_group_name_Hall 'P 1'
_cell_length_a 17.4182
_cell_length_b 3.4946
_cell_length_c 8.5064
_cell_angle_alpha 90.00
_cell_angle_beta 119.16
_cell_angle_gamma 90.00
loop_
_atom_site_label
_atom_site_type_symbol
_atom_site_fract_x
_atom_site_fract_y
_atom_site_fract_z
Sm1 Sm 0.0666 0.0000 0.4108
Sm2 Sm 0.4334 0.5000 0.5892
Sm3 Sm 0.5666 0.5000 0.4108
Sm4 Sm 0.9334 0.0000 0.5892
Dy1 Dy 0.1491 0.5000 0.8314
Dy2 Dy 0.3509 0.0000 0.1686
Dy3 Dy 0.6491 0.0000 0.8314
Dy4 Dy 0.8509 0.5000 0.1686
Er1 Er 0.0000 0.5000 0.0000
Er2 Er 0.2116 0.5000 0.3010
Er3 Er 0.2884 0.0000 0.6990
Er4 Er 0.5000 0.0000 0.0000
Er5 Er 0.7116 0.0000 0.3010
Er6 Er 0.7884 0.5000 0.6990
```

The 10 most intense peaks (10 to 90 degrees two-theta), low angle first:
- 2θ 27.60, I 50
- 2θ 30.04, I 53
- 2θ 31.08, I 32
- 2θ 31.24, I 93
- 2θ 31.54, I 96
- 2θ 32.12, I 80
- 2θ 33.72, I 100
- 2θ 36.47, I 47
- 2θ 39.26, I 32
- 2θ 55.28, I 30

=====

No. 2
Calculated powder diffraction line list
Compound: Na10Br4O3
Radiation: Cu Kα
Structure: a structure optimized by DFT (PBE)
Peak positions follow from Bragg's law for the DFT cell and can differ from measured ones.

```
data_Na10Br4O3
_symmetry_space_group_name_H-M 'P 1'
_symmetry_Int_Tables_number 1
_symmetry_space_group_name_Hall 'P 1'
_cell_length_a 17.0569
_cell_length_b 17.0569
_cell_length_c 17.0569
_cell_angle_alpha 164.53
_cell_angle_beta 164.53
_cell_angle_gamma 21.94
loop_
_atom_site_label
_atom_site_type_symbol
_atom_site_fract_x
_atom_site_fract_y
_atom_site_fract_z
Na1 Na 0.0000 0.5000 0.5000
Na2 Na 0.0691 0.0691 0.0000
Na3 Na 0.1381 0.6381 0.5000
Na4 Na 0.2063 0.2063 0.0000
Na5 Na 0.3619 0.8619 0.5000
Na6 Na 0.5000 0.0000 0.5000
Na7 Na 0.6381 0.1381 0.5000
Na8 Na 0.7937 0.7937 0.0000
Na9 Na 0.8619 0.3619 0.5000
Na10 Na 0.9309 0.9309 0.0000
Br1 Br 0.2945 0.2945 0.0000
Br2 Br 0.4312 0.4312 0.0000
Br3 Br 0.5688 0.5688 0.0000
Br4 Br 0.7055 0.7055 0.0000
O1 O 0.0000 0.0000 0.0000
O2 O 0.1381 0.1381 0.0000
O3 O 0.8619 0.8619 0.0000
```

The 10 most intense peaks (10 to 90 degrees two-theta), low angle first:
- 2θ 26.92, I 86
- 2θ 27.48, I 61
- 2θ 31.90, I 37
- 2θ 34.98, I 100
- 2θ 37.60, I 35
- 2θ 39.26, I 80
- 2θ 48.24, I 32
- 2θ 55.49, I 42
- 2θ 56.72, I 25
- 2θ 68.41, I 26

=====

No. 3
Calculated powder diffraction line list
Compound: Na2GaTeSe4
Radiation: Cu Kα
Structure: a structure optimized by DFT (PBE)
Peak positions follow from Bragg's law for the DFT cell and can differ from measured ones.

```
data_Na2GaTeSe4
_symmetry_space_group_name_H-M 'P 1'
_symmetry_Int_Tables_number 1
_symmetry_space_group_name_Hall 'P 1'
_cell_length_a 5.5779
_cell_length_b 6.6592
_cell_length_c 6.7508
_cell_angle_alpha 103.66
_cell_angle_beta 98.55
_cell_angle_gamma 103.99
loop_
_atom_site_label
_atom_site_type_symbol
_atom_site_fract_x
_atom_site_fract_y
_atom_site_fract_z
Na1 Na 0.0000 0.0000 0.0000
Na2 Na 0.4370 0.4634 0.8692
Ga1 Ga 0.5703 0.0434 0.5388
Te1 Te 0.8797 0.5462 0.4813
Se1 Se 0.3368 0.8510 0.7448
Se2 Se 0.3934 0.2777 0.3705
Se3 Se 0.7198 0.8071 0.2783
Se4 Se 0.8926 0.3350 0.8126
```

The 10 most intense peaks (10 to 90 degrees two-theta), low angle first:
- 2θ 13.83, I 79
- 2θ 23.55, I 100
- 2θ 24.65, I 28
- 2θ 30.11, I 40
- 2θ 32.41, I 50
- 2θ 34.10, I 55
- 2θ 39.18, I 30
- 2θ 40.81, I 23
- 2θ 45.81, I 28
- 2θ 47.41, I 25

=====

No. 4
Calculated powder diffraction line list
Compound: CaBrOF2
Radiation: Cu Kα
Structure: a structure optimized by DFT (PBE)
Peak positions follow from Bragg's law for the DFT cell and can differ from measured ones.

```
data_CaBrOF2
_symmetry_space_group_name_H-M 'P 1'
_symmetry_Int_Tables_number 1
_symmetry_space_group_name_Hall 'P 1'
_cell_length_a 4.3914
_cell_length_b 4.3914
_cell_length_c 4.9628
_cell_angle_alpha 90.00
_cell_angle_beta 90.00
_cell_angle_gamma 90.00
loop_
_atom_site_label
_atom_site_type_symbol
_atom_site_fract_x
_atom_site_fract_y
_atom_site_fract_z
Ca1 Ca 0.0000 0.0000 0.0000
Br1 Br 0.5000 0.5000 0.5000
O1 O 0.0000 0.0000 0.5000
F1 F 0.0000 0.5000 0.0000
F2 F 0.5000 0.0000 0.0000
```

The 10 most intense peaks (10 to 90 degrees two-theta), low angle first:
- 2θ 27.11, I 100
- 2θ 28.75, I 38
- 2θ 34.06, I 44
- 2θ 36.20, I 32
- 2θ 41.11, I 44
- 2θ 46.87, I 19
- 2θ 49.94, I 36
- 2θ 55.92, I 32
- 2θ 59.54, I 13
- 2θ 71.71, I 14

=====

No. 5
Calculated powder diffraction line list
Compound: Cs3K4Hg3
Radiation: Cu Kα
Structure: a structure optimized by DFT (PBE)
Peak positions follow from Bragg's law for the DFT cell and can differ from measured ones.

```
data_Cs3K4Hg3
_symmetry_space_group_name_H-M 'P 1'
_symmetry_Int_Tables_number 1
_symmetry_space_group_name_Hall 'P 1'
_cell_length_a 11.4997
_cell_length_b 11.4997
_cell_length_c 11.4997
_cell_angle_alpha 109.47
_cell_angle_beta 109.47
_cell_angle_gamma 109.47
loop_
_atom_site_label
_atom_site_type_symbol
_atom_site_fract_x
_atom_site_fract_y
_atom_site_fract_z
Cs1 Cs 0.1250 0.7500 0.8750
Cs2 Cs 0.2500 0.6250 0.3750
Cs3 Cs 0.3750 0.2500 0.6250
Cs4 Cs 0.6250 0.3750 0.2500
Cs5 Cs 0.7500 0.8750 0.1250
Cs6 Cs 0.8750 0.1250 0.7500
K1 K 0.0000 0.3356 0.5000
K2 K 0.0000 0.8356 0.5000
K3 K 0.1644 0.1644 0.1644
K4 K 0.3356 0.5000 0.0000
K5 K 0.5000 0.0000 0.3356
K6 K 0.5000 0.0000 0.8356
K7 K 0.6644 0.6644 0.6644
K8 K 0.8356 0.5000 0.0000
Hg1 Hg 0.1250 0.8750 0.2500
Hg2 Hg 0.2500 0.1250 0.8750
Hg3 Hg 0.3750 0.6250 0.7500
Hg4 Hg 0.6250 0.7500 0.3750
Hg5 Hg 0.7500 0.3750 0.6250
Hg6 Hg 0.8750 0.2500 0.1250
```

The 10 most intense peaks (10 to 90 degrees two-theta), low angle first:
- 2θ 16.35, I 76
- 2θ 18.90, I 25
- 2θ 25.09, I 100
- 2θ 30.10, I 89
- 2θ 31.60, I 22
- 2θ 37.08, I 25
- 2θ 41.94, I 22
- 2θ 49.50, I 22
- 2θ 50.51, I 26
- 2θ 64.30, I 21

=====

No. 6
Calculated powder diffraction line list
Compound: Zr6GaBi
Radiation: Cu Kα
Structure: a structure optimized by DFT (PBE)
Peak positions follow from Bragg's law for the DFT cell and can differ from measured ones.

```
data_Zr6GaBi
_symmetry_space_group_name_H-M 'P 1'
_symmetry_Int_Tables_number 1
_symmetry_space_group_name_Hall 'P 1'
_cell_length_a 5.6188
_cell_length_b 5.6196
_cell_length_c 5.6210
_cell_angle_alpha 90.00
_cell_angle_beta 90.03
_cell_angle_gamma 90.00
loop_
_atom_site_label
_atom_site_type_symbol
_atom_site_fract_x
_atom_site_fract_y
_atom_site_fract_z
Zr1 Zr 0.0000 0.2437 0.0000
Zr2 Zr 0.0000 0.7563 0.0000
Zr3 Zr 0.2563 0.0000 0.4981
Zr4 Zr 0.4993 0.5000 0.7564
Zr5 Zr 0.5007 0.5000 0.2436
Zr6 Zr 0.7437 0.0000 0.5019
Ga1 Ga 0.5000 0.0000 0.0000
Bi1 Bi 0.0000 0.5000 0.5000
```

The 10 most intense peaks (10 to 90 degrees two-theta), low angle first:
- 2θ 15.77, I 16
- 2θ 31.85, I 44
- 2θ 35.73, I 92
- 2θ 39.27, I 100
- 2θ 59.29, I 22
- 2θ 61.76, I 53
- 2θ 66.56, I 17
- 2θ 75.68, I 14
- 2θ 77.90, I 18
- 2θ 80.10, I 13

=====

No. 7
Calculated powder diffraction line list
Compound: BaAgSn2S4
Radiation: Cu Kα
Structure: a structure optimized by DFT (PBE)
Peak positions follow from Bragg's law for the DFT cell and can differ from measured ones.

```
data_BaAgSn2S4
_symmetry_space_group_name_H-M 'P 1'
_symmetry_Int_Tables_number 1
_symmetry_space_group_name_Hall 'P 1'
_cell_length_a 7.0164
_cell_length_b 7.0164
_cell_length_c 14.3181
_cell_angle_alpha 90.00
_cell_angle_beta 90.00
_cell_angle_gamma 144.91
loop_
_atom_site_label
_atom_site_type_symbol
_atom_site_fract_x
_atom_site_fract_y
_atom_site_fract_z
Ba1 Ba 0.1190 0.8810 0.7500
Ba2 Ba 0.8810 0.1190 0.2500
Ag1 Ag 0.1513 0.8487 0.2500
Ag2 Ag 0.8487 0.1513 0.7500
Sn1 Sn 0.3715 0.6285 0.5545
Sn2 Sn 0.3715 0.6285 0.9455
Sn3 Sn 0.6285 0.3715 0.0545
Sn4 Sn 0.6285 0.3715 0.4455
S1 S 0.0000 0.0000 0.0000
S2 S 0.0000 0.0000 0.5000
S3 S 0.2698 0.7302 0.1088
S4 S 0.2698 0.7302 0.3912
S5 S 0.4460 0.5540 0.7500
S6 S 0.5540 0.4460 0.2500
S7 S 0.7302 0.2698 0.6088
S8 S 0.7302 0.2698 0.8912
```

The 10 most intense peaks (10 to 90 degrees two-theta), low angle first:
- 2θ 22.89, I 29
- 2θ 24.87, I 28
- 2θ 25.35, I 60
- 2θ 26.65, I 33
- 2θ 29.77, I 29
- 2θ 31.72, I 100
- 2θ 38.59, I 26
- 2θ 41.89, I 18
- 2θ 42.75, I 28
- 2θ 44.32, I 20

=====

No. 8
Calculated powder diffraction line list
Compound: KAuC2N2Cl2O
Radiation: Cu Kα
Structure: a structure optimized by DFT (PBE)
Peak positions follow from Bragg's law for the DFT cell and can differ from measured ones.

```
data_KAuC2N2Cl2O
_symmetry_space_group_name_H-M 'P 1'
_symmetry_Int_Tables_number 1
_symmetry_space_group_name_Hall 'P 1'
_cell_length_a 9.1750
_cell_length_b 9.1750
_cell_length_c 6.9985
_cell_angle_alpha 104.85
_cell_angle_beta 104.85
_cell_angle_gamma 50.22
loop_
_atom_site_label
_atom_site_type_symbol
_atom_site_fract_x
_atom_site_fract_y
_atom_site_fract_z
K1 K 0.1842 0.8158 0.7500
K2 K 0.8158 0.1842 0.2500
Au1 Au 0.0000 0.5000 0.0000
Au2 Au 0.5000 0.0000 0.5000
C1 C 0.0061 0.6878 0.2181
C2 C 0.3122 0.9939 0.2819
C3 C 0.6878 0.0061 0.7181
C4 C 0.9939 0.3122 0.7819
N1 N 0.0090 0.7970 0.3458
N2 N 0.2030 0.9910 0.1542
N3 N 0.7970 0.0090 0.8458
N4 N 0.9910 0.2030 0.6542
Cl1 Cl 0.2338 0.4497 0.8563
Cl2 Cl 0.4497 0.2338 0.3563
Cl3 Cl 0.5503 0.7662 0.6437
Cl4 Cl 0.7662 0.5503 0.1437
O1 O 0.5000 0.5000 0.0000
O2 O 0.5000 0.5000 0.5000
```

The 10 most intense peaks (10 to 90 degrees two-theta), low angle first:
- 2θ 11.10, I 69
- 2θ 17.13, I 69
- 2θ 19.43, I 100
- 2θ 21.45, I 63
- 2θ 25.46, I 28
- 2θ 26.74, I 23
- 2θ 31.72, I 20
- 2θ 32.15, I 21
- 2θ 34.66, I 26
- 2θ 39.74, I 20

=====

No. 9
Calculated powder diffraction line list
Compound: Co8Ni5Ir
Radiation: Cu Kα
Structure: a structure optimized by DFT (PBE)
Peak positions follow from Bragg's law for the DFT cell and can differ from measured ones.

```
data_Co8Ni5Ir
_symmetry_space_group_name_H-M 'P 1'
_symmetry_Int_Tables_number 1
_symmetry_space_group_name_Hall 'P 1'
_cell_length_a 5.9574
_cell_length_b 6.0537
_cell_length_c 6.0813
_cell_angle_alpha 116.57
_cell_angle_beta 92.20
_cell_angle_gamma 117.61
loop_
_atom_site_label
_atom_site_type_symbol
_atom_site_fract_x
_atom_site_fract_y
_atom_site_fract_z
Co1 Co 0.0000 0.0000 0.0000
Co2 Co 0.0623 0.1791 0.6709
Co3 Co 0.2112 0.7222 0.9050
Co4 Co 0.3500 0.5116 0.1104
Co5 Co 0.4798 0.2884 0.2805
Co6 Co 0.6733 0.9846 0.2122
Co7 Co 0.7539 0.3233 0.6400
Co8 Co 0.9196 0.6949 0.5451
Ni1 Ni 0.1462 0.4285 0.4408
Ni2 Ni 0.2520 0.9058 0.3633
Ni3 Ni 0.3962 0.1145 0.8189
Ni4 Ni 0.5263 0.5579 0.7654
Ni5 Ni 0.5985 0.8421 0.5667
Ir1 Ir 0.8693 0.3728 0.0662
```

The 10 most intense peaks (10 to 90 degrees two-theta), low angle first:
- 2θ 17.92, I 77
- 2θ 44.09, I 90
- 2θ 44.53, I 58
- 2θ 44.94, I 62
- 2θ 45.32, I 90
- 2θ 45.91, I 63
- 2θ 46.41, I 100
- 2θ 46.71, I 69
- 2θ 46.85, I 76
- 2θ 48.80, I 85

=====

No. 10
Calculated powder diffraction line list
Compound: Ba3Sr4Hg
Radiation: Cu Kα
Structure: a structure optimized by DFT (PBE)
Peak positions follow from Bragg's law for the DFT cell and can differ from measured ones.

```
data_Ba3Sr4Hg
_symmetry_space_group_name_H-M 'P 1'
_symmetry_Int_Tables_number 1
_symmetry_space_group_name_Hall 'P 1'
_cell_length_a 4.1906
_cell_length_b 4.1906
_cell_length_c 23.6736
_cell_angle_alpha 90.00
_cell_angle_beta 90.00
_cell_angle_gamma 90.00
loop_
_atom_site_label
_atom_site_type_symbol
_atom_site_fract_x
_atom_site_fract_y
_atom_site_fract_z
Ba1 Ba 0.0000 0.0000 0.0000
Ba2 Ba 0.0000 0.0000 0.2781
Ba3 Ba 0.0000 0.0000 0.7219
Sr1 Sr 0.5000 0.5000 0.1384
Sr2 Sr 0.5000 0.5000 0.4199
Sr3 Sr 0.5000 0.5000 0.5801
Sr4 Sr 0.5000 0.5000 0.8616
Hg1 Hg 0.0000 0.0000 0.5000
```

The 10 most intense peaks (10 to 90 degrees two-theta), low angle first:
- 2θ 14.97, I 12
- 2θ 26.05, I 100
- 2θ 26.35, I 11
- 2θ 28.44, I 17
- 2θ 30.16, I 56
- 2θ 31.13, I 11
- 2θ 40.48, I 21
- 2θ 43.18, I 26
- 2θ 51.13, I 32
- 2θ 63.31, I 16

=====

No. 11
Calculated powder diffraction line list
Compound: Pm6PuHg5
Radiation: Cu Kα
Structure: a structure optimized by DFT (PBE)
Peak positions follow from Bragg's law for the DFT cell and can differ from measured ones.

```
data_Pm6PuHg5
_symmetry_space_group_name_H-M 'P 1'
_symmetry_Int_Tables_number 1
_symmetry_space_group_name_Hall 'P 1'
_cell_length_a 9.3220
_cell_length_b 9.3220
_cell_length_c 9.3220
_cell_angle_alpha 146.47
_cell_angle_beta 130.80
_cell_angle_gamma 60.86
loop_
_atom_site_label
_atom_site_type_symbol
_atom_site_fract_x
_atom_site_fract_y
_atom_site_fract_z
Pm1 Pm 0.0809 0.3324 0.7486
Pm2 Pm 0.2363 0.0000 0.2363
Pm3 Pm 0.4162 0.6676 0.7486
Pm4 Pm 0.5838 0.3324 0.2514
Pm5 Pm 0.7637 0.0000 0.7637
Pm6 Pm 0.9191 0.6676 0.2514
Pu1 Pu 0.5000 0.5000 0.0000
Hg1 Hg 0.0000 0.5000 0.5000
Hg2 Hg 0.1692 0.1692 0.0000
Hg3 Hg 0.3435 0.8435 0.5000
Hg4 Hg 0.6565 0.1565 0.5000
Hg5 Hg 0.8308 0.8308 0.0000
```

The 10 most intense peaks (10 to 90 degrees two-theta), low angle first:
- 2θ 33.01, I 100
- 2θ 33.32, I 25
- 2θ 33.44, I 24
- 2θ 46.82, I 10
- 2θ 47.93, I 18
- 2θ 58.71, I 19
- 2θ 59.35, I 19
- 2θ 59.51, I 18
- 2θ 69.25, I 12
- 2θ 78.04, I 8

=====

No. 12
Calculated powder diffraction line list
Compound: La2Pr5Y2
Radiation: Cu Kα
Structure: a structure optimized by DFT (PBE)
Peak positions follow from Bragg's law for the DFT cell and can differ from measured ones.

```
data_La2Pr5Y2
_symmetry_space_group_name_H-M 'P 1'
_symmetry_Int_Tables_number 1
_symmetry_space_group_name_Hall 'P 1'
_cell_length_a 3.7094
_cell_length_b 3.7094
_cell_length_c 23.4512
_cell_angle_alpha 94.50
_cell_angle_beta 94.50
_cell_angle_gamma 90.30
loop_
_atom_site_label
_atom_site_type_symbol
_atom_site_fract_x
_atom_site_fract_y
_atom_site_fract_z
La1 La 0.1659 0.1659 0.3313
La2 La 0.8341 0.8341 0.6687
Pr1 Pr 0.0565 0.0565 0.1124
Pr2 Pr 0.2790 0.2790 0.5568
Pr3 Pr 0.5000 0.5000 0.0000
Pr4 Pr 0.7210 0.7210 0.4432
Pr5 Pr 0.9435 0.9435 0.8876
Y1 Y 0.3902 0.3902 0.7794
Y2 Y 0.6098 0.6098 0.2206
```

The 10 most intense peaks (10 to 90 degrees two-theta), low angle first:
- 2θ 29.62, I 100
- 2θ 34.09, I 17
- 2θ 34.28, I 17
- 2θ 34.64, I 16
- 2θ 49.12, I 12
- 2θ 49.39, I 12
- 2θ 58.30, I 15
- 2θ 58.54, I 14
- 2θ 59.02, I 14
- 2θ 61.50, I 12

=====

No. 13
Calculated powder diffraction line list
Compound: Cs2PmPrO4
Radiation: Cu Kα
Structure: a structure optimized by DFT (PBE)
Peak positions follow from Bragg's law for the DFT cell and can differ from measured ones.

```
data_Cs2PmPrO4
_symmetry_space_group_name_H-M 'P 1'
_symmetry_Int_Tables_number 1
_symmetry_space_group_name_Hall 'P 1'
_cell_length_a 6.4206
_cell_length_b 3.7072
_cell_length_c 7.2763
_cell_angle_alpha 90.00
_cell_angle_beta 107.10
_cell_angle_gamma 90.00
loop_
_atom_site_label
_atom_site_type_symbol
_atom_site_fract_x
_atom_site_fract_y
_atom_site_fract_z
Cs1 Cs 0.0000 0.0000 0.0000
Cs2 Cs 0.5000 0.5000 0.0000
Pm1 Pm 0.0000 0.5000 0.5000
Pr1 Pr 0.5000 0.0000 0.5000
O1 O 0.2194 0.0000 0.6694
O2 O 0.2728 0.5000 0.3300
O3 O 0.7272 0.5000 0.6700
O4 O 0.7806 0.0000 0.3306
```

The 10 most intense peaks (10 to 90 degrees two-theta), low angle first:
- 2θ 25.62, I 45
- 2θ 29.10, I 88
- 2θ 32.76, I 100
- 2θ 44.77, I 36
- 2θ 49.15, I 32
- 2θ 52.29, I 22
- 2θ 56.24, I 32
- 2θ 60.33, I 16
- 2θ 74.88, I 14
- 2θ 81.43, I 14